(1)
Simulated XRD peak list
Compound: AgSbO12
Radiation: a wavelength of 1.5418 Å
Structure: a crystal structure in Alexandria, relaxed with PBE

The 10 most intense peaks (10° ≤ 2θ ≤ 90°), by angle:
2θ 16.4, 5.398 Å, intensity 100; 2θ 23.3, 3.817 Å, intensity 48; 2θ 24.6, 3.618 Å, intensity 46; 2θ 29.7, 3.005 Å, intensity 33; 2θ 34.1, 2.626 Å, intensity 37; 2θ 37.2, 2.414 Å, intensity 38; 2θ 41.8, 2.163 Å, intensity 16; 2θ 45.2, 2.008 Å, intensity 56; 2θ 59.9, 1.544 Å, intensity 15; 2θ 64.4, 1.448 Å, intensity 17

Atomic structure:
```
28
Lattice="7.6339 0.0000 0.0000 0.0000 7.6339 0.0000 0.0000 0.0000 7.2362" Properties=species:S:1:pos:R:3 pbc="T T T"
Ag 1.9085 1.9085 1.8090
Ag 5.7254 5.7254 5.4271
Sb 1.9085 1.9085 5.4271
Sb 5.7254 5.7254 1.8090
O 0.3095 5.8736 5.1586
O 0.5411 2.5041 6.6434
O 0.7651 4.7626 1.9526
O 0.9456 6.8689 5.5707
O 1.3129 0.5411 4.2108
O 1.7603 4.1265 1.5405
O 2.0566 7.3244 1.5405
O 2.5041 3.2758 4.2108
O 2.8713 4.5820 5.5707
O 3.0519 6.6883 1.9526
O 3.2758 1.3129 6.6434
O 3.5074 5.5773 5.1586
O 4.1265 2.0566 2.0775
O 4.3581 6.3210 0.5927
O 4.5820 0.9456 5.2836
O 4.7626 3.0519 1.6655
O 5.1298 4.3581 3.0254
O 5.5773 0.3095 5.6956
O 5.8736 3.5074 5.6956
O 6.3210 7.0928 3.0254
O 6.6883 0.7651 1.6655
O 6.8689 2.8713 5.2836
O 7.0928 5.1298 0.5927
O 7.3244 1.7603 2.0775
```



(2)
Simulated XRD peak list
Compound: CaMnAg2Cl6
Radiation: a wavelength of 1.5418 Å
Structure: a crystal structure in Alexandria, relaxed with PBE

The 10 most intense peaks (10° ≤ 2θ ≤ 90°), by angle:
2θ 14.4, 6.137 Å, intensity 20; 2θ 17.8, 4.985 Å, intensity 22; 2θ 24.5, 3.636 Å, intensity 100; 2θ 26.0, 3.424 Å, intensity 56; 2θ 29.1, 3.068 Å, intensity 23; 2θ 29.9, 2.990 Å, intensity 64; 2θ 31.7, 2.822 Å, intensity 24; 2θ 36.0, 2.493 Å, intensity 63; 2θ 45.0, 2.015 Å, intensity 46; 2θ 45.9, 1.977 Å, intensity 58

Atomic structure:
```
10
Lattice="3.4240 1.9768 6.1366 -3.4240 1.9768 6.1366 0.0000 -3.9537 6.1366" Properties=species:S:1:pos:R:3 pbc="T T T"
Ca 0.0000 0.0000 0.0000
Mn 0.0000 0.0000 9.2205
Ag 0.0000 0.0000 4.1910
Ag 0.0000 0.0000 14.1212
Cl -0.8798 -1.9027 7.7649
Cl -2.0812 -0.1794 10.6738
Cl -1.2079 1.7133 7.7649
Cl 1.1959 -1.7126 10.6738
Cl 2.0877 0.1894 7.7649
Cl 0.8852 1.8920 10.6738
```



(3)
Simulated XRD peak list
Compound: KTl4Hg8
Radiation: a wavelength of 1.5418 Å
Structure: a crystal structure in Alexandria, relaxed with PBE

The 10 most intense peaks (10° ≤ 2θ ≤ 90°), by angle:
2θ 14.8, 5.984 Å, intensity 21; 2θ 28.4, 3.144 Å, intensity 26; 2θ 29.9, 2.992 Å, intensity 68; 2θ 33.3, 2.694 Å, intensity 64; 2θ 34.3, 2.613 Å, intensity 42; 2θ 34.5, 2.596 Å, intensity 100; 2θ 37.6, 2.394 Å, intensity 41; 2θ 38.5, 2.337 Å, intensity 45; 2θ 48.9, 1.863 Å, intensity 22; 2θ 58.7, 1.572 Å, intensity 27

Atomic structure:
```
13
Lattice="-5.2251 5.2251 3.6495 5.2251 -5.2251 3.6495 5.2251 5.2251 -3.6495" Properties=species:S:1:pos:R:3 pbc="T T T"
K 0.0000 0.0000 0.0000
Tl 2.6126 2.6126 -1.8248
Tl 2.6126 -2.6126 1.8248
Tl -2.6126 2.6126 1.8248
Tl 2.6126 2.6126 1.8248
Hg 3.6718 0.0000 0.0000
Hg 6.7784 0.0000 0.0000
Hg 5.2251 3.0061 0.0000
Hg 0.0000 3.6718 0.0000
Hg 3.0061 5.2251 0.0000
Hg 2.2190 0.0000 3.6495
Hg 0.0000 6.7784 0.0000
Hg 0.0000 2.2190 3.6495
```